Na2Y3Te4Cl3O12: theoretical powder diffractogram (copper Kα), based on a structure optimized by DFT (GGA-PBE).

Most intense lines, 5 to 70 degrees two-theta, low angle first:
- 10.17°, d 8.699, intensity 39, (2 0 0)
- 19.59°, d 4.532, intensity 40, (1 1 1)
- 23.49°, d 3.787, intensity 32, (2 0 -4)
- 30.47°, d 2.933, intensity 100, (1 1 3)
- 30.58°, d 2.924, intensity 98, (7 1 -3)
- 31.95°, d 2.801, intensity 54, (0 2 0)

Crystal structure
abc: 24.1451 5.5956 16.8250
angles: 90.00 133.90 90.00
Space group C2/c (No. 15)
Unique sites:
Na 0.1656 0.2260 0.0741 (multiplicity 8)
Y 0.0000 0.2506 0.7500 (multiplicity 4)
Y 0.0010 0.2494 0.0859 (multiplicity 8)
Te 0.1326 0.2047 0.6967 (multiplicity 8)
Te 0.1354 0.3007 0.4036 (multiplicity 8)
Cl 0.2498 0.2468 0.6687 (multiplicity 8)
Cl 0.2500 0.2500 0.0000 (multiplicity 4)
O 0.0665 0.0803 0.7110 (multiplicity 8)
O 0.0692 0.4477 0.5904 (multiplicity 8)
O 0.0713 0.4254 0.2570 (multiplicity 8)
O 0.0731 0.0514 0.3848 (multiplicity 8)
O 0.0844 0.0156 0.0767 (multiplicity 8)
O 0.0862 0.4831 0.9266 (multiplicity 8)

---

Na2PdCl4: theoretical powder diffractogram (copper Kα), based on a structure optimized by DFT (GGA-PBE).

Most intense lines, 5 to 70 degrees two-theta, low angle first:
- 12.91°, d 6.856, intensity 100, (1 1 0)
- 24.93°, d 3.572, intensity 60, (1 0 2)
- 26.59°, d 3.352, intensity 21, (1 1 2)
- 29.12°, d 3.066, intensity 24, (3 1 0)
- 29.67°, d 3.011, intensity 21, (2 0 2)
- 37.09°, d 2.424, intensity 21, (4 0 0)

Crystal structure
abc: 9.6958 9.6958 7.6843
angles: 90.00 90.00 90.00
Space group P4/ncc (No. 130, origin choice 2)
Unique sites:
Na 0.0560 0.5560 0.2500 (multiplicity 8)
Pd 0.2500 0.2500 0.0648 (multiplicity 4)
Cl 0.0151 0.1957 0.5689 (multiplicity 16)